Diffraction record for Li3Fe2Ni3O10. The powder X-ray diffraction pattern is simulated, not measured: it uses DFT lattice parameters and positions (GGA+U) and Cu Ka.
Lines closer than 0.1° are merged.

Largest 12 diffraction maxima, by angle, 2θ = 5–70°:
2θ/deg  intensity  h k l
12.47  75  0 0 1
18.65  100  0 1 -1
22.77  24  1 -1 0
26.54  14  0 1 1
26.94  25  1 0 -2
35.58  12  -1 1 2
37.56  18  1 1 1
43.00  44  1 -1 3
43.20  45  -1 2 1
44.81  40  2 1 -2
62.52  13  0 1 4
62.66  12  2 -3 2

Cell and atoms:
a = 5.0386 Å, b = 5.0846 Å, c = 7.7721 Å
α = 108.31°, β = 101.04°, γ = 101.49°
Atoms (fractional coordinates):
Li 0.0000 0.0000 0.0000
Li 0.1844 0.4002 0.3678
Li 0.6571 0.2875 0.2212
Fe 0.2832 0.6160 0.0835
Fe 0.5100 0.0062 0.4604
Ni 0.0894 0.1937 0.6648
Ni 0.3891 0.7934 0.7605
Ni 0.6922 0.4061 0.8661
O 0.0574 0.6094 0.8521
O 0.2000 0.8272 0.5354
O 0.3020 0.0171 0.2335
O 0.3443 0.1856 0.8877
O 0.4115 0.4032 0.6247
O 0.5039 0.6127 0.2954
O 0.6010 0.7579 0.9830
O 0.7361 0.0420 0.7113
O 0.8496 0.2092 0.4495
O 0.9584 0.3880 0.1001